(1)
The following is a calculated powder diffractogram of Sc2CoRh. It was derived from a cell relaxed with GGA-PBE, using CuKα.
Lines closer than 0.1° are merged.

Most intense lines, 2θ = 10–90°, in order of rising 2θ:
- 24.17°, I = 7.3
- 27.98°, I = 12.1
- 39.99°, I = 100.0
- 47.27°, I = 3.7
- 57.83°, I = 15.9
- 65.45°, I = 4.6
- 72.63°, I = 30.8
- 86.29°, I = 9.6

Atomic structure:
a = 4.509 Å, b = 4.509 Å, c = 4.509 Å
α = 60.00°, β = 60.00°, γ = 60.00°
Atoms (fractional coordinates):
Sc: 0.250 0.250 0.250
Sc: 0.750 0.750 0.750
Co: 0.000 0.000 0.000
Rh: 0.500 0.500 0.500



(2)
The following is a calculated powder diffractogram of CoSnRh2. It was derived from a cell relaxed with GGA-PBE, using CuKα.
Lines closer than 0.1° are merged.

Most intense lines, 2θ = 10–90°, in order of rising 2θ:
- 40.10°, I = 100.0
- 44.35°, I = 37.4
- 50.98°, I = 12.4
- 64.53°, I = 12.0
- 69.84°, I = 19.0
- 78.75°, I = 27.3
- 86.58°, I = 10.9
- 88.61°, I = 10.4

Atomic structure:
a = 4.602 Å, b = 4.602 Å, c = 4.602 Å
α = 127.31°, β = 127.31°, γ = 77.75°
Atoms (fractional coordinates):
Co: 0.000 0.000 0.000
Sn: 0.500 0.500 0.000
Rh: 0.250 0.750 0.500
Rh: 0.750 0.250 0.500



(3)
The following is a calculated powder diffractogram of Sc2CoRu. It was derived from a cell relaxed with GGA-PBE, using CuKα.
Lines closer than 0.1° are merged.

Most intense lines, 2θ = 10–90°, in order of rising 2θ:
- 24.29°, I = 6.7
- 28.12°, I = 11.6
- 40.19°, I = 100.0
- 49.76°, I = 3.4
- 58.13°, I = 15.8
- 65.80°, I = 4.4
- 73.03°, I = 30.6
- 86.80°, I = 9.6

Atomic structure:
a = 4.488 Å, b = 4.488 Å, c = 4.488 Å
α = 60.00°, β = 60.00°, γ = 60.00°
Atoms (fractional coordinates):
Sc: 0.250 0.250 0.250
Sc: 0.750 0.750 0.750
Co: 0.000 0.000 0.000
Ru: 0.500 0.500 0.500



(4)
The following is a calculated powder diffractogram of Tm2CoRu. It was derived from a cell relaxed with GGA-PBE, using CuKα.
Lines closer than 0.1° are merged.

Most intense lines, 2θ = 10–90°, in order of rising 2θ:
- 26.79°, I = 14.3
- 38.25°, I = 100.0
- 47.32°, I = 4.4
- 55.21°, I = 17.1
- 62.40°, I = 6.0
- 69.15°, I = 34.5
- 81.88°, I = 10.9
- 88.06°, I = 3.2

Atomic structure:
a = 4.706 Å, b = 4.706 Å, c = 4.706 Å
α = 60.00°, β = 60.00°, γ = 60.00°
Atoms (fractional coordinates):
Tm: 0.250 0.250 0.250
Tm: 0.750 0.750 0.750
Co: 0.000 0.000 0.000
Ru: 0.500 0.500 0.500



(5)
The following is a calculated powder diffractogram of Co3S4. It was derived from a cell relaxed with GGA-PBE, using CuKα.
Lines closer than 0.1° are merged.

Most intense lines, 2θ = 10–90°, in order of rising 2θ:
- 16.52°, I = 12.6
- 27.13°, I = 29.0
- 31.93°, I = 100.0
- 38.75°, I = 49.0
- 51.06°, I = 41.9
- 55.96°, I = 82.7
- 79.15°, I = 16.3
- 83.14°, I = 12.2

Atomic structure:
a = 6.573 Å, b = 6.573 Å, c = 6.573 Å
α = 60.00°, β = 60.00°, γ = 60.00°
Atoms (fractional coordinates):
Co: 0.000 0.000 0.000
Co: 0.000 0.000 0.500
Co: 0.000 0.500 0.000
Co: 0.375 0.375 0.375
Co: 0.500 0.000 0.000
Co: 0.625 0.625 0.625
S: 0.229 0.757 0.757
S: 0.243 0.243 0.243
S: 0.243 0.243 0.771
S: 0.243 0.771 0.243
S: 0.757 0.229 0.757
S: 0.757 0.757 0.229
S: 0.757 0.757 0.757
S: 0.771 0.243 0.243



(6)
The following is a calculated powder diffractogram of Co2S3. It was derived from a cell relaxed with GGA-PBE, using CuKα.
Lines closer than 0.1° are merged.

Most intense lines, 2θ = 10–90°, in order of rising 2θ:
- 16.51°, I = 41.9
- 27.13°, I = 18.2
- 31.92°, I = 100.0
- 38.74°, I = 82.1
- 51.04°, I = 44.9
- 55.94°, I = 97.6
- 70.12°, I = 15.8
- 79.11°, I = 14.1

Atomic structure:
a = 14.688 Å, b = 14.688 Å, c = 14.688 Å
α = 154.12°, β = 154.12°, γ = 36.93°
Atoms (fractional coordinates):
Co: 0.000 0.000 0.000
Co: 0.000 0.000 0.500
Co: 0.000 0.500 0.000
Co: 0.165 0.667 0.498
Co: 0.207 0.457 0.750
Co: 0.330 0.333 0.998
Co: 0.333 0.330 0.498
Co: 0.333 0.835 0.002
Co: 0.457 0.207 0.250
Co: 0.500 0.000 0.500
Co: 0.543 0.793 0.750
Co: 0.667 0.165 0.998
Co: 0.667 0.670 0.502
Co: 0.670 0.667 0.002
Co: 0.793 0.543 0.250
Co: 0.835 0.333 0.502
S: 0.080 0.102 0.522
S: 0.080 0.559 0.978
S: 0.096 0.587 0.510
S: 0.102 0.080 0.022
S: 0.233 0.748 0.485
S: 0.237 0.252 0.985
S: 0.252 0.237 0.485
S: 0.252 0.767 0.015
S: 0.413 0.423 0.510
S: 0.413 0.904 0.990
S: 0.423 0.413 0.010
S: 0.441 0.920 0.522
S: 0.559 0.080 0.478
S: 0.577 0.587 0.990
S: 0.587 0.096 0.010
S: 0.587 0.577 0.490
S: 0.748 0.233 0.985
S: 0.748 0.763 0.515
S: 0.763 0.748 0.015
S: 0.767 0.252 0.515
S: 0.898 0.920 0.978
S: 0.904 0.413 0.490
S: 0.920 0.441 0.022
S: 0.920 0.898 0.478



(7)
The following is a calculated powder diffractogram of CoS2. It was derived from a cell relaxed with GGA-PBE, using CuKα.
Lines closer than 0.1° are merged.

Most intense lines, 2θ = 10–90°, in order of rising 2θ:
- 28.07°, I = 38.5
- 32.52°, I = 100.0
- 36.49°, I = 47.6
- 40.11°, I = 40.9
- 46.66°, I = 53.1
- 55.34°, I = 99.4
- 58.02°, I = 16.7
- 63.18°, I = 20.9

Atomic structure:
a = 5.506 Å, b = 5.506 Å, c = 5.506 Å
α = 90.00°, β = 90.00°, γ = 90.00°
Atoms (fractional coordinates):
Co: 0.000 0.000 0.000
Co: 0.000 0.500 0.500
Co: 0.500 0.000 0.500
Co: 0.500 0.500 0.000
S: 0.112 0.612 0.888
S: 0.112 0.888 0.388
S: 0.388 0.112 0.888
S: 0.388 0.388 0.388
S: 0.612 0.612 0.612
S: 0.612 0.888 0.112
S: 0.888 0.112 0.612
S: 0.888 0.388 0.112



(8)
The following is a calculated powder diffractogram of CoS2. It was derived from a cell relaxed with GGA-PBE, using CuKα.
Lines closer than 0.1° are merged.

Most intense lines, 2θ = 10–90°, in order of rising 2θ:
- 16.49°, I = 100.0
- 31.88°, I = 34.0
- 38.69°, I = 91.8
- 50.97°, I = 20.7
- 55.86°, I = 55.3
- 58.67°, I = 17.2
- 70.02°, I = 17.4
- 72.51°, I = 10.1

Atomic structure:
a = 6.583 Å, b = 6.583 Å, c = 6.583 Å
α = 60.00°, β = 60.00°, γ = 60.00°
Atoms (fractional coordinates):
Co: 0.000 0.000 0.000
Co: 0.000 0.000 0.500
Co: 0.000 0.500 0.000
Co: 0.500 0.000 0.000
S: 0.220 0.760 0.760
S: 0.240 0.240 0.240
S: 0.240 0.240 0.780
S: 0.240 0.780 0.240
S: 0.760 0.220 0.760
S: 0.760 0.760 0.220
S: 0.760 0.760 0.760
S: 0.780 0.240 0.240